(1)
Starting from the PBE geometry in Alexandria, the XRD peak list of ScPbS was calculated for Cu Kα.
Neutral-atom scattering factors, no anomalous dispersion.

Peak list (12 most intense, 2θ from 10° to 90°, in order of rising 2θ)
10.42 deg, I = 100, hkl 0 0 1
20.65 deg, I = 44, hkl 0 1 1
20.93 deg, I = 30, hkl 0 0 2
27.59 deg, I = 59, hkl 0 1 2
30.50 deg, I = 59, hkl 1 1 0
32.31 deg, I = 98, hkl 1 1 1
32.50 deg, I = 86, hkl 1 0 2
36.00 deg, I = 41, hkl 0 2 0
36.51 deg, I = 49, hkl 0 1 3
49.28 deg, I = 53, hkl 1 2 2
49.80 deg, I = 19, hkl 1 0 4
63.81 deg, I = 20, hkl 2 1 3

```
6
Lattice="3.622 0.000 0.000 0.000 4.989 0.000 0.000 0.000 8.489" Properties=species:S:1:pos:R:3 pbc="T T T"
Sc 0.905 1.247 0.779
Sc 2.716 3.742 7.710
Pb 0.905 3.742 4.958
Pb 2.716 1.247 3.531
S 0.905 3.742 0.984
S 2.716 1.247 7.505
```

***

(2)
Starting from the PBE geometry in Alexandria, the XRD peak list of Sc2PbS4 was calculated for Cu Kα.
Neutral-atom scattering factors, no anomalous dispersion.

Peak list (12 most intense, 2θ from 10° to 90°, in order of rising 2θ)
14.92 deg, I = 65, hkl 1 0 2
15.05 deg, I = 32, hkl 2 0 0
19.85 deg, I = 36, hkl 2 0 2
24.44 deg, I = 41, hkl 0 1 1
26.14 deg, I = 52, hkl 3 0 2
27.02 deg, I = 25, hkl 1 0 4
28.82 deg, I = 30, hkl 2 1 1
31.62 deg, I = 100, hkl 1 1 3
33.56 deg, I = 34, hkl 3 1 1
38.46 deg, I = 43, hkl 3 1 3
39.35 deg, I = 47, hkl 4 1 1
42.31 deg, I = 29, hkl 2 0 6

```
28
Lattice="11.776 0.000 0.000 0.000 3.778 0.000 0.000 0.000 13.753" Properties=species:S:1:pos:R:3 pbc="T T T"
Sc 0.667 0.944 1.527
Sc 0.973 0.944 8.196
Sc 4.916 2.833 1.320
Sc 5.221 2.833 8.404
Sc 6.555 0.944 5.349
Sc 6.861 0.944 12.433
Sc 10.804 2.833 5.557
Sc 11.109 2.833 12.226
Pb 2.844 0.944 4.513
Pb 3.044 2.833 11.390
Pb 8.732 0.944 2.363
Pb 8.933 2.833 9.240
S 0.387 2.833 9.843
S 1.028 0.944 12.754
S 1.429 2.833 6.474
S 2.387 2.833 2.165
S 3.502 0.944 9.042
S 4.459 0.944 13.350
S 4.860 2.833 5.877
S 5.501 0.944 2.966
S 6.275 2.833 10.787
S 6.916 0.944 7.876
S 7.318 2.833 0.403
S 8.275 2.833 4.711
S 9.390 0.944 11.588
S 10.347 0.944 7.279
S 10.748 2.833 0.999
S 11.389 0.944 3.910
```

***

(3)
Starting from the PBE geometry in Alexandria, the XRD peak list of ScPbS3 was calculated for Cu Kα.
Neutral-atom scattering factors, no anomalous dispersion.

Peak list (12 most intense, 2θ from 10° to 90°, in order of rising 2θ)
14.34 deg, I = 36, hkl 0 0 1
15.87 deg, I = 53, hkl 0 1 0
17.92 deg, I = 23, hkl -1 1 1
24.50 deg, I = 100, hkl 1 -1 1
26.35 deg, I = 77, hkl 1 1 -1
30.13 deg, I = 69, hkl 1 -2 1
30.91 deg, I = 22, hkl 2 0 -1
36.29 deg, I = 49, hkl 2 0 0
37.27 deg, I = 24, hkl 1 0 -3
39.52 deg, I = 48, hkl 1 1 -3
45.40 deg, I = 48, hkl 3 -2 0
46.51 deg, I = 43, hkl 3 0 -2

```
10
Lattice="6.761 0.000 0.000 -3.376 5.860 0.000 -3.378 -1.952 6.177" Properties=species:S:1:pos:R:3 pbc="T T T"
Sc 0.003 1.954 0.185
Sc 0.004 1.953 5.992
Pb -3.374 3.908 3.593
Pb 3.381 0.000 2.584
S -0.843 -0.113 1.459
S -1.363 3.719 1.463
S -2.206 1.652 4.714
S 2.213 2.256 1.463
S 1.371 0.189 4.714
S 0.851 4.020 4.718
```